This entry pairs a crystal structure of TbPm5Pr2Sm with its calculated powder X-ray diffraction pattern. Radiation: copper Kα. Structure: a crystal structure in Alexandria, relaxed with GGA-PBE.
Kinematic intensities with the Lorentz-polarization factor, no thermal factor.

Principal peaks in the range 2θ from 5° to 70°, low angle first:
| h k l | 2θ/deg | d_spacing | Rel. int. |
| --- | --- | --- | --- |
| 2 1 3 | 28.1 | 3.178 | 48 |
| 2 2 0 | 28.7 | 3.106 | 52 |
| 2 0 4 | 30.0 | 2.979 | 100 |
| 3 1 0 | 32.2 | 2.778 | 12 |
| 3 1 2 | 34.1 | 2.628 | 11 |
| 3 2 1 | 37.3 | 2.409 | 15 |
| 0 0 8 | 44.7 | 2.027 | 12 |
| 4 2 4 | 51.7 | 1.768 | 24 |
| 2 2 8 | 54.0 | 1.697 | 13 |
| 6 1 1 | 64.8 | 1.438 | 11 |

Atomic structure:
Cell: 8.7840 8.7840 16.2159 Å, 90.00 90.00 90.00°
Space group I4/mcm (No. 140)
Asymmetric unit:
Tb  0.0000  0.5000  0.2500 [4 per cell]
Pm  0.0000  0.0000  0.0000 [4 per cell]
Pm  0.2116  0.2884  0.1409 [16 per cell]
Pr  0.1196  0.3804  0.5000 [8 per cell]
Sm  0.0000  0.0000  0.2500 [4 per cell]